1.
# Rb5Na2Tl4
Computed PXRD pattern, Cu Kα (λ = 1.5418 Å). Input: a structure optimized by DFT (GGA-PBE).
Lines closer than 0.1° are merged.

Most intense lines, 2θ = 5–70°, in order of rising 2θ:
2θ 11.4, intensity 69
2θ 13.3, intensity 100
2θ 25.7, intensity 26
2θ 26.5, intensity 47
2θ 27.8, intensity 38
2θ 28.2, intensity 47
2θ 29.8, intensity 39
2θ 31.4, intensity 27
2θ 35.3, intensity 27
2θ 36.3, intensity 37

Crystal structure
```
Rb5Na2Tl4
1.0
7.8497 -3.8815 0.0000
7.8497 3.8815 0.0000
-6.3437 0.0000 9.0036
Rb Na Tl
5 2 4
Direct
0.0000 0.0000 0.0000
0.0435 0.5354 0.3376
0.4646 0.9565 0.6624
0.5354 0.0435 0.3376
0.9565 0.4646 0.6624
0.4723 0.4723 0.1983
0.5277 0.5277 0.8017
0.0034 0.0034 0.6659
0.2224 0.2224 0.9706
0.7776 0.7776 0.0294
0.9966 0.9966 0.3341
```



2.
# Rb3CrCd
Computed PXRD pattern, Cu Kα (λ = 1.5418 Å). Input: a structure optimized by DFT (GGA-PBE).
Lines closer than 0.1° are merged.

Most intense lines, 2θ = 5–70°, in order of rising 2θ:
2θ 12.8, intensity 58
2θ 22.2, intensity 42
2θ 25.7, intensity 100
2θ 28.8, intensity 35
2θ 36.6, intensity 77
2θ 38.9, intensity 19
2θ 43.2, intensity 20
2θ 45.3, intensity 28
2θ 59.6, intensity 36
2θ 65.9, intensity 26

Crystal structure
```
Rb3CrCd
1.0
6.9416 0.0000 0.0000
0.0000 6.9416 0.0000
0.0000 0.0000 6.9416
Rb Cr Cd
3 1 1
Direct
0.0000 0.0000 0.5000
0.0000 0.5000 0.0000
0.5000 0.0000 0.0000
0.5000 0.5000 0.5000
0.0000 0.0000 0.0000
```



3.
# PmPr6Dy6
Computed PXRD pattern, Cu Kα (λ = 1.5418 Å). Input: a structure optimized by DFT (GGA-PBE).
Lines closer than 0.1° are merged.

Most intense lines, 2θ = 5–70°, in order of rising 2θ:
2θ 28.4, intensity 100
2θ 29.6, intensity 93
2θ 29.8, intensity 29
2θ 31.6, intensity 39
2θ 31.7, intensity 50
2θ 33.6, intensity 55
2θ 33.8, intensity 75
2θ 34.6, intensity 38
2θ 35.5, intensity 50
2θ 55.1, intensity 31

Crystal structure
```
PmPr6Dy6
1.0
6.6482 0.0000 0.0000
0.0000 11.3242 0.0000
-2.8802 0.0000 6.0441
Pm Pr Dy
1 6 6
Direct
0.0000 0.0000 0.0000
0.0000 0.3311 0.0000
0.0000 0.6689 0.0000
0.2787 0.5000 0.7382
0.3288 0.0000 0.6097
0.6712 0.0000 0.3903
0.7213 0.5000 0.2618
0.0000 0.2342 0.5000
0.0000 0.7658 0.5000
0.5000 0.2161 0.0000
0.5000 0.2988 0.5000
0.5000 0.7012 0.5000
0.5000 0.7839 0.0000
```



4.
# CaTh3Os8
Computed PXRD pattern, Cu Kα (λ = 1.5418 Å). Input: a structure optimized by DFT (GGA-PBE).
Lines closer than 0.1° are merged.

Most intense lines, 2θ = 5–70°, in order of rising 2θ:
2θ 20.0, intensity 11
2θ 32.9, intensity 22
2θ 38.8, intensity 100
2θ 38.9, intensity 33
2θ 40.5, intensity 14
2θ 40.7, intensity 42
2θ 62.7, intensity 14
2θ 62.8, intensity 19
2θ 69.0, intensity 19
2θ 69.2, intensity 13

Crystal structure
```
CaTh3Os8
1.0
4.6998 -2.7198 0.0000
4.6998 2.7198 0.0000
-3.1189 0.0000 8.9011
Ca Th Os
1 3 8
Direct
0.0000 0.0000 0.0000
0.3733 0.3733 0.1200
0.5004 0.5004 0.5009
0.8770 0.8770 0.6306
0.1881 0.1881 0.5645
0.4335 0.9387 0.3106
0.4379 0.4379 0.8152
0.4384 0.9389 0.8152
0.6877 0.6877 0.0632
0.9380 0.9380 0.3106
0.9387 0.4335 0.3106
0.9389 0.4384 0.8152
```



> What is the formula in the second record?

Rb3CrCd